Entry 1:
# Li2Ac3Pd7
Computed X-ray powder pattern, Cu Ka. Input: a structure optimized by DFT (PBE).

Top 10 peaks for 10 to 90 degrees two-theta, by intensity:
d/Å, Position (°2θ), intensity, hkl
2.658, 33.72, 100, 1 1 2
2.211, 40.82, 29, 2 0 -1
2.136, 42.32, 19, 0 2 0
1.536, 60.25, 18, 2 2 -1
3.955, 22.48, 16, 1 0 -2
2.386, 37.70, 13, 1 1 -4
2.452, 36.65, 12, 1 0 4
1.348, 69.79, 12, 3 1 1
1.313, 71.91, 11, 1 3 2
2.619, 34.24, 10, 0 1 4

Cell and atoms:
a b c (Å): 4.4220 4.2712 13.4373
angles (deg): 90.00 99.32 90.00
Space group P2/m (No. 10)
Inequivalent atoms, fractional coordinates:
Li: 0.1279 0.0000 0.2560 x2
Ac: 0.0000 0.0000 0.0000 x1
Ac: 0.3213 0.5000 0.6422 x2
Pd: 0.0833 0.5000 0.1649 x2
Pd: 0.2212 0.0000 0.4422 x2
Pd: 0.4172 0.0000 0.8351 x2
Pd: 0.5000 0.5000 0.0000 x1


Entry 2:
# YHoEr2Sc2
Computed X-ray powder pattern, Cu Ka. Input: a structure optimized by DFT (PBE).

Top 10 peaks for 10 to 90 degrees two-theta, by intensity:
d/Å, Position (°2θ), intensity, hkl
2.944, 30.37, 100, 2 2 0
2.120, 42.64, 46, 2 3 1
2.863, 31.25, 40, 0 6 0
3.543, 25.14, 37, 1 4 0
2.899, 30.85, 31, 1 1 1
2.879, 31.07, 27, 0 3 1
2.782, 32.17, 26, 1 2 1
2.426, 37.05, 24, 1 4 1
3.269, 27.28, 24, 0 1 1
2.391, 37.62, 23, 0 5 1

Cell and atoms:
a b c (Å): 6.2689 17.1754 3.3301
angles (deg): 90.00 90.00 90.00
Space group Pnnm (No. 58)
Inequivalent atoms, fractional coordinates:
Y: 0.0000 0.0000 0.0000 x2
Ho: 0.0000 0.5000 0.0000 x2
Er: 0.2300 0.3107 0.0000 x4
Sc: 0.2284 0.1467 0.5000 x4